# 1
This entry pairs a crystal structure of Ac2Pr6Sm5 with its calculated powder diffractogram. Radiation: CuKα. Structure: a PBE-relaxed structure.
Intensities are scaled so that the largest is 100.

Cell and atoms:
Unit cell a=12.243 b=21.044 c=3.740 alpha=90.00 beta=90.00 gamma=90.00
Space group Pbam (No. 55)
Unique sites:
Ac  0.167  0.220  0.000
Pr  0.057  0.924  0.000
Pr  0.074  0.637  0.000
Pr  0.184  0.379  0.500
Sm  0.000  0.500  0.500
Sm  0.093  0.781  0.500
Sm  0.203  0.054  0.500

Main lines, by intensity (2θ from 10° to 80°):
30.78°, I 100
29.49°, I 61
30.62°, I 59
30.22°, I 46
30.47°, I 42
32.82°, I 39
34.97°, I 28
58.61°, I 27



# 2
This entry pairs a crystal structure of Ac4Pr5Sm3 with its calculated powder diffractogram. Radiation: CuKα. Structure: a PBE-relaxed structure.
Intensities are scaled so that the largest is 100.

Cell and atoms:
Unit cell a=17.082 b=6.299 c=9.913 alpha=90.00 beta=118.16 gamma=90.00
Space group C2/m (No. 12)
Unique sites:
Ac  0.081  0.000  0.428
Ac  0.215  0.000  0.872
Pr  0.000  0.000  0.000
Pr  0.075  0.500  0.699
Pr  0.170  0.500  0.387
Sm  0.000  0.500  0.000
Sm  0.211  0.000  0.228

Main lines, by intensity (2θ from 10° to 80°):
28.33°, I 100
30.46°, I 81
29.98°, I 73
30.74°, I 48
28.15°, I 44
31.76°, I 43
27.11°, I 35
28.03°, I 29



# 3
This entry pairs a crystal structure of Ac2PrSm6 with its calculated powder diffractogram. Radiation: CuKα. Structure: a PBE-relaxed structure.
Intensities are scaled so that the largest is 100.

Cell and atoms:
Unit cell a=17.576 b=10.122 c=3.665 alpha=90.00 beta=90.16 gamma=90.00
Space group C2/m (No. 12)
Unique sites:
Ac  0.167  0.000  0.000
Pr  0.000  0.500  0.000
Sm  0.000  0.170  0.500
Sm  0.165  0.334  0.500

Main lines, by intensity (2θ from 10° to 80°):
30.09°, I 100
30.56°, I 99
54.06°, I 26
43.45°, I 25
59.47°, I 15
59.58°, I 15
54.27°, I 13
53.94°, I 13



# 4
This entry pairs a crystal structure of Ac8Pr2Sm3 with its calculated powder diffractogram. Radiation: CuKα. Structure: a PBE-relaxed structure.
Intensities are scaled so that the largest is 100.

Cell and atoms:
Unit cell a=20.194 b=7.817 c=6.824 alpha=90.00 beta=90.64 gamma=90.00
Space group C2/m (No. 12)
Unique sites:
Ac  0.049  0.000  0.299
Ac  0.153  0.243  0.702
Ac  0.162  0.500  0.210
Pr  0.207  0.000  0.166
Sm  0.000  0.302  0.000
Sm  0.000  0.500  0.500

Main lines, by intensity (2θ from 10° to 80°):
27.80°, I 100
31.82°, I 27
31.70°, I 25
26.49°, I 25
27.98°, I 21
27.50°, I 18
44.89°, I 17
31.42°, I 17



# 5
This entry pairs a crystal structure of Ac12Pr5Sm2 with its calculated powder diffractogram. Radiation: CuKα. Structure: a PBE-relaxed structure.
Intensities are scaled so that the largest is 100.

Cell and atoms:
Unit cell a=15.103 b=11.800 c=9.141 alpha=90.00 beta=98.89 gamma=90.00
Space group C2/m (No. 12)
Unique sites:
Ac  0.076  0.000  0.214
Ac  0.108  0.232  0.886
Ac  0.132  0.500  0.620
Ac  0.179  0.293  0.303
Pr  0.000  0.500  0.000
Pr  0.143  0.000  0.620
Pr  0.232  0.500  0.016
Sm  0.000  0.222  0.500

Main lines, by intensity (2θ from 10° to 80°):
28.75°, I 100
28.92°, I 100
30.28°, I 89
53.01°, I 27
43.35°, I 21
39.02°, I 17
25.77°, I 14
26.22°, I 14



# 6
This entry pairs a crystal structure of Ac3PrSm8 with its calculated powder diffractogram. Radiation: CuKα. Structure: a PBE-relaxed structure.
Intensities are scaled so that the largest is 100.

Cell and atoms:
Unit cell a=6.676 b=9.480 c=14.394 alpha=90.00 beta=90.00 gamma=90.00
Space group I222 (No. 23)
Unique sites:
Ac  0.000  0.000  0.000
Ac  0.000  0.500  0.369
Pr  0.000  0.000  0.500
Sm  0.127  0.345  0.104
Sm  0.139  0.149  0.293

Main lines, by intensity (2θ from 10° to 80°):
29.72°, I 100
29.03°, I 37
28.93°, I 25
35.17°, I 24
33.76°, I 23
33.96°, I 17
56.69°, I 16
22.82°, I 13



# 7
This entry pairs a crystal structure of Ac3Pr4Sm with its calculated powder diffractogram. Radiation: CuKα. Structure: a PBE-relaxed structure.
Intensities are scaled so that the largest is 100.

Cell and atoms:
Unit cell a=10.836 b=7.585 c=7.574 alpha=90.00 beta=90.00 gamma=90.00
Space group Pmna (No. 53)
Unique sites:
Ac  0.000  0.000  0.000
Ac  0.250  0.256  0.250
Pr  0.000  0.000  0.500
Pr  0.000  0.500  0.000
Pr  0.250  0.252  0.750
Sm  0.000  0.500  0.500

Main lines, by intensity (2θ from 10° to 80°):
28.75°, I 100
33.44°, I 34
56.93°, I 30
47.74°, I 25
33.07°, I 17
56.44°, I 15
59.54°, I 13
48.01°, I 12



# 8
This entry pairs a crystal structure of Ac5PrSm with its calculated powder diffractogram. Radiation: CuKα. Structure: a PBE-relaxed structure.
Intensities are scaled so that the largest is 100.

Cell and atoms:
Unit cell a=5.709 b=5.709 c=9.546 alpha=90.00 beta=90.00 gamma=90.00
Space group P4/mmm (No. 123)
Unique sites:
Ac  0.000  0.000  0.000
Ac  0.000  0.500  0.281
Pr  0.500  0.500  0.000
Sm  0.500  0.500  0.500

Main lines, by intensity (2θ from 10° to 80°):
28.97°, I 100
31.34°, I 45
54.33°, I 36
49.81°, I 17
44.91°, I 17
23.93°, I 13
60.03°, I 10
42.55°, I 10